(1)
Structure and simulated X-ray powder pattern of DyTm4Tc2 (the GGA-PBE geometry in Alexandria; CuKα).
Peak positions follow from Bragg's law for the DFT cell and can differ from measured ones.

Peak list (6 most intense, 10 to 90 degrees two-theta, in order of falling intensity)
d (Å), I_rel
2.859, 100
2.613, 46
2.347, 43
2.825, 41
2.425, 39
2.798, 38

Cell and atoms:
abc: 7.7252 6.2113 7.8455
angles: 90.00 111.89 90.00
Positions (direct):
1 Dy 0.0250 0.2500 0.1570
2 Dy 0.9750 0.7500 0.8430
3 Tm 0.2393 0.5009 0.5825
4 Tm 0.2393 0.9991 0.5825
5 Tm 0.3267 0.7500 0.2518
6 Tm 0.3880 0.2500 0.0249
7 Tm 0.6120 0.7500 0.9751
8 Tm 0.6733 0.2500 0.7482
9 Tm 0.7607 0.0009 0.4175
10 Tm 0.7607 0.4991 0.4175
11 Tc 0.0335 0.2500 0.7536
12 Tc 0.4227 0.2500 0.3821
13 Tc 0.5773 0.7500 0.6179
14 Tc 0.9665 0.7500 0.2464

---

(2)
Structure and simulated X-ray powder pattern of Cd7Pt2Au3 (the GGA-PBE geometry in Alexandria; CuKα).
Peak positions follow from Bragg's law for the DFT cell and can differ from measured ones.

Peak list (6 most intense, 10 to 90 degrees two-theta, in order of falling intensity)
d (Å), I_rel
2.413, 100
2.050, 62
2.402, 62
2.376, 60
2.142, 44
1.475, 25

Cell and atoms:
abc: 10.5369 10.5369 5.1899
angles: 95.28 95.28 151.81
Positions (direct):
1 Cd 0.0000 0.0000 0.0000
2 Cd 0.0958 0.9042 0.5000
3 Cd 0.2808 0.7192 0.0000
4 Cd 0.4246 0.5754 0.0000
5 Cd 0.5754 0.4246 0.0000
6 Cd 0.7192 0.2808 0.0000
7 Cd 0.9042 0.0958 0.5000
8 Pt 0.1446 0.8554 0.0000
9 Pt 0.8554 0.1446 0.0000
10 Au 0.3443 0.6557 0.5000
11 Au 0.5000 0.5000 0.5000
12 Au 0.6557 0.3443 0.5000

---

(3)
Structure and simulated X-ray powder pattern of TlSiTe2 (the GGA-PBE geometry in Alexandria; CuKα).
Peak positions follow from Bragg's law for the DFT cell and can differ from measured ones.

Peak list (6 most intense, 10 to 90 degrees two-theta, in order of falling intensity)
d (Å), I_rel
2.601, 100
4.450, 66
3.227, 59
1.632, 50
2.412, 46
2.661, 45

Cell and atoms:
abc: 3.2055 5.3216 8.1172
angles: 90.00 90.00 90.00
Positions (direct):
1 Tl 0.0000 0.0000 0.0000
2 Si 0.5000 0.5000 0.4866
3 Te 0.5000 0.0000 0.3943
4 Te 0.5000 0.5000 0.8058

---

What did the first record say?
Structure and simulated X-ray powder pattern of DyTm4Tc2 (the GGA-PBE geometry in Alexandria; CuKα).
Peak positions follow from Bragg's law for the DFT cell and can differ from measured ones.

Peak list (6 most intense, 10 to 90 degrees two-theta, in order of falling intensity)
d (Å), I_rel
2.859, 100
2.613, 46
2.347, 43
2.825, 41
2.425, 39
2.798, 38

Cell and atoms:
abc: 7.7252 6.2113 7.8455
angles: 90.00 111.89 90.00
Positions (direct):
1 Dy 0.0250 0.2500 0.1570
2 Dy 0.9750 0.7500 0.8430
3 Tm 0.2393 0.5009 0.5825
4 Tm 0.2393 0.9991 0.5825
5 Tm 0.3267 0.7500 0.2518
6 Tm 0.3880 0.2500 0.0249
7 Tm 0.6120 0.7500 0.9751
8 Tm 0.6733 0.2500 0.7482
9 Tm 0.7607 0.0009 0.4175
10 Tm 0.7607 0.4991 0.4175
11 Tc 0.0335 0.2500 0.7536
12 Tc 0.4227 0.2500 0.3821
13 Tc 0.5773 0.7500 0.6179
14 Tc 0.9665 0.7500 0.2464